1.
Diffraction record for Nd5Tm12Sc2. The powder XRD pattern is theoretical, not measured: it uses a crystal structure in Alexandria, relaxed with PBE and copper Kα.
Lines closer than 0.1° are merged.

Structural model:
```
Nd5Tm12Sc2
1.0
9.174 -3.584 0.000
9.174 3.584 0.000
-3.655 0.000 9.112
Nd Tm Sc
5 12 2
Direct
0.000 0.000 0.000 Nd
0.191 0.191 0.697 Nd
0.317 0.317 0.293 Nd
0.683 0.683 0.707 Nd
0.809 0.809 0.303 Nd
0.015 0.015 0.715 Tm
0.088 0.591 0.994 Tm
0.091 0.595 0.635 Tm
0.405 0.909 0.365 Tm
0.409 0.912 0.006 Tm
0.500 0.500 0.185 Tm
0.500 0.500 0.815 Tm
0.591 0.088 0.994 Tm
0.595 0.091 0.635 Tm
0.909 0.405 0.365 Tm
0.912 0.409 0.006 Tm
0.985 0.985 0.285 Tm
0.303 0.697 0.500 Sc
0.697 0.303 0.500 Sc
```

Principal peaks in the range 2θ from 10° to 90°, in order of rising 2θ:
d/Å  Position (°2θ)  I_rel
3.037  29.4  42.5
2.971  30.1  64.9
2.838  31.5  88.0
2.817  31.8  100.0
2.742  32.7  62.7
2.617  34.3  39.9


2.
Diffraction record for Nd2Tm7Sc2. The powder XRD pattern is theoretical, not measured: it uses a crystal structure in Alexandria, relaxed with PBE and copper Kα.
Lines closer than 0.1° are merged.

Structural model:
```
Nd2Tm7Sc2
1.0
3.524 0.000 0.000
-1.756 8.709 0.000
-0.006 -1.152 11.129
Nd Tm Sc
2 7 2
Direct
0.207 0.416 0.240 Nd
0.793 0.584 0.760 Nd
0.000 0.000 0.500 Tm
0.334 0.668 0.508 Tm
0.341 0.682 0.020 Tm
0.477 0.950 0.782 Tm
0.523 0.050 0.218 Tm
0.659 0.318 0.980 Tm
0.666 0.332 0.492 Tm
0.128 0.255 0.727 Sc
0.872 0.745 0.273 Sc
```

Principal peaks in the range 2θ from 10° to 90°, in order of rising 2θ:
d/Å  Position (°2θ)  I_rel
2.944  30.4  29.2
2.888  31.0  35.5
2.782  32.2  57.4
2.729  32.8  25.7
2.708  33.1  96.3
2.589  34.6  100.0


3.
Diffraction record for Nd3Tm6Sc. The powder XRD pattern is theoretical, not measured: it uses a crystal structure in Alexandria, relaxed with PBE and copper Kα.
Lines closer than 0.1° are merged.

Structural model:
```
Nd3Tm6Sc
1.0
11.120 0.000 0.000
0.000 4.994 0.000
-0.050 0.000 11.153
Nd Tm Sc
6 12 2
Direct
0.050 0.250 0.401 Nd
0.151 0.750 0.202 Nd
0.252 0.250 0.000 Nd
0.748 0.750 0.000 Nd
0.849 0.250 0.798 Nd
0.950 0.750 0.599 Nd
0.053 0.750 0.899 Tm
0.159 0.250 0.698 Tm
0.262 0.750 0.502 Tm
0.353 0.750 0.798 Tm
0.358 0.250 0.308 Tm
0.452 0.750 0.104 Tm
0.548 0.250 0.896 Tm
0.642 0.750 0.692 Tm
0.647 0.250 0.202 Tm
0.738 0.250 0.498 Tm
0.841 0.750 0.302 Tm
0.947 0.250 0.101 Tm
0.451 0.250 0.599 Sc
0.549 0.750 0.401 Sc
```

Principal peaks in the range 2θ from 10° to 90°, in order of rising 2θ:
d/Å  Position (°2θ)  I_rel
2.878  31.1  100.0
2.497  36.0  34.0
2.483  36.2  16.3
1.761  51.9  23.2
1.505  61.6  28.2
1.499  61.9  13.2


4.
Diffraction record for Nd3Tm4Sc. The powder XRD pattern is theoretical, not measured: it uses a crystal structure in Alexandria, relaxed with PBE and copper Kα.
Lines closer than 0.1° are merged.

Structural model:
```
Nd3Tm4Sc
1.0
11.251 0.000 0.000
0.000 7.230 0.000
0.000 0.000 6.203
Nd Tm Sc
6 8 2
Direct
0.000 0.128 0.000 Nd
0.250 0.125 0.334 Nd
0.250 0.875 0.834 Nd
0.500 0.872 0.500 Nd
0.750 0.125 0.334 Nd
0.750 0.875 0.834 Nd
0.000 0.378 0.502 Tm
0.000 0.622 0.000 Tm
0.245 0.623 0.338 Tm
0.255 0.377 0.838 Tm
0.500 0.378 0.500 Tm
0.500 0.622 0.002 Tm
0.745 0.377 0.838 Tm
0.755 0.623 0.338 Tm
0.000 0.868 0.496 Sc
0.500 0.132 0.996 Sc
```

Principal peaks in the range 2θ from 10° to 90°, in order of rising 2θ:
d/Å  Position (°2θ)  I_rel
3.123  28.6  23.7
2.813  31.8  35.7
2.731  32.8  100.0
2.716  33.0  48.3
1.608  57.3  20.1
1.513  61.3  22.0